No. 1
NaAg5Cl8: calculated X-ray diffraction stick pattern (copper Kα), based on a structure optimized by DFT (GGA-PBE).

Peak list (10 most intense, 5 to 70 degrees two-theta, by intensity)
2theta	d [Å]	I (rel.)	h k l
26.3	3.390	1000	3 1 1
45.6	1.988	756	4 4 0
31.8	2.811	526	4 0 0
41.7	2.164	472	5 1 1
13.6	6.492	433	1 1 1
63.6	1.464	209	5 5 3
22.4	3.975	148	2 2 0
53.4	1.715	134	5 3 3
56.7	1.623	111	4 4 4
66.5	1.406	109	8 0 0

Cell and atoms:
Lattice parameters (Å, degrees): 11.244 11.244 11.244 90.00 90.00 90.00
Space group F-43m (No. 216)
One atom of each set of equivalent atoms:
Na 0.000 0.000 0.000 x4
Ag 0.125 0.125 0.625 x16
Ag 0.250 0.250 0.250 x4
Cl 0.117 0.117 0.383 x16
Cl 0.137 0.137 0.863 x16

=====

No. 2
NaAg3Cl8: calculated X-ray diffraction stick pattern (copper Kα), based on a structure optimized by DFT (GGA-PBE).

Peak list (10 most intense, 5 to 70 degrees two-theta, by intensity)
2theta	d [Å]	I (rel.)	h k l
14.6	6.062	1000	2 0 -1
34.8	2.581	607	2 2 -2
27.9	3.202	585	4 0 0
43.9	2.062	380	2 2 2
27.6	3.227	341	0 2 1
23.5	3.788	327	2 0 1
13.8	6.438	285	1 1 0
46.3	1.960	245	6 2 -2
48.9	1.863	205	0 4 0
34.9	2.573	170	4 2 -1

Cell and atoms:
Lattice parameters (Å, degrees): 14.252 7.458 7.170 90.00 116.00 90.00
Space group C2/m (No. 12)
One atom of each set of equivalent atoms:
Na 0.000 0.000 0.000 x2
Ag 0.000 0.500 0.000 x2
Ag 0.250 0.250 0.500 x4
Cl 0.001 0.284 0.237 x8
Cl 0.236 0.000 0.717 x4
Cl 0.237 0.000 0.257 x4

=====

No. 3
NaAg4Cl5: calculated X-ray diffraction stick pattern (copper Kα), based on a structure optimized by DFT (GGA-PBE).

Peak list (10 most intense, 5 to 70 degrees two-theta, by intensity)
2theta	d [Å]	I (rel.)	h k l
45.7	1.985	1000	2 0 0
31.9	2.804	967	1 1 0
27.5	3.242	558	1 0 5
31.8	2.816	522	0 0 10
56.8	1.621	344	2 0 10
6.3	14.076	336	0 0 2
54.2	1.691	178	2 1 5
66.7	1.402	99	2 2 0
54.1	1.696	90	1 0 15
22.6	3.926	86	1 0 1

Cell and atoms:
Lattice parameters (Å, degrees): 3.965 3.965 28.152 90.00 90.00 90.00
Space group I4/mmm (No. 139)
One atom of each set of equivalent atoms:
Na 0.000 0.000 0.000 x2
Ag 0.000 0.000 0.201 x4
Ag 0.000 0.000 0.400 x4
Cl 0.000 0.000 0.101 x4
Cl 0.000 0.000 0.300 x4
Cl 0.000 0.000 0.500 x2

=====

No. 4
NaNdAg2Cl6: calculated X-ray diffraction stick pattern (copper Kα), based on a structure optimized by DFT (GGA-PBE).

Peak list (10 most intense, 5 to 70 degrees two-theta, by intensity)
2theta	d [Å]	I (rel.)	h k l
13.6	6.516	1000	0 0 1
25.1	3.544	691	1 -2 0
44.7	2.027	579	3 0 -2
23.3	3.820	545	1 -1 1
29.2	3.063	491	-2 1 2
28.4	3.137	487	1 1 0
23.1	3.853	485	0 1 1
28.7	3.109	471	1 -2 1
23.6	3.777	471	1 0 -2
44.0	2.056	309	0 3 -1

Cell and atoms:
Lattice parameters (Å, degrees): 6.992 7.089 7.613 90.31 116.58 119.51
Space group P1 (No. 1)
One atom of each set of equivalent atoms:
Na 0.000 0.000 0.000 x1
Nd 0.988 0.495 0.481 x1
Ag 0.474 0.235 0.705 x1
Ag 0.568 0.796 0.369 x1
Cl 0.128 0.245 0.727 x1
Cl 0.142 0.399 0.240 x1
Cl 0.491 0.884 0.703 x1
Cl 0.508 0.114 0.236 x1
Cl 0.846 0.751 0.254 x1
Cl 0.853 0.604 0.738 x1

=====

No. 5
Na2PuAgCl6: calculated X-ray diffraction stick pattern (copper Kα), based on a structure optimized by DFT (GGA-PBE).

Peak list (10 most intense, 5 to 70 degrees two-theta, by intensity)
2theta	d [Å]	I (rel.)	h k l
16.0	5.547	1000	1 1 0
16.5	5.372	666	0 0 1
32.3	2.774	491	2 2 0
23.0	3.859	375	1 1 1
36.5	2.465	363	2 2 1
37.2	2.417	337	1 1 2
22.7	3.923	325	2 0 0
50.1	1.822	281	3 1 2
36.2	2.481	260	3 1 0
11.3	7.845	232	1 0 0

Cell and atoms:
Lattice parameters (Å, degrees): 7.845 7.845 5.372 90.00 90.00 90.00
Space group P4mm (No. 99)
One atom of each set of equivalent atoms:
Na 0.000 0.500 0.000 x2
Pu 0.000 0.000 0.841 x1
Ag 0.500 0.500 0.795 x1
Cl 0.000 0.000 0.344 x1
Cl 0.242 0.242 0.867 x4
Cl 0.500 0.500 0.315 x1

=====

No. 6
RbNaAg2Cl5: calculated X-ray diffraction stick pattern (copper Kα), based on a structure optimized by DFT (GGA-PBE).

Peak list (10 most intense, 5 to 70 degrees two-theta, by intensity)
2theta	d [Å]	I (rel.)	h k l
25.4	3.506	1000	1 0 2
35.9	2.504	656	2 0 0
44.5	2.038	438	2 1 2
17.7	5.008	340	1 0 0
27.3	3.272	331	0 0 3
25.1	3.541	319	1 1 0
45.6	1.989	290	2 0 3
44.9	2.017	270	1 1 4
51.6	1.771	213	2 2 0
18.1	4.909	190	0 0 2

Cell and atoms:
Lattice parameters (Å, degrees): 5.008 5.008 9.817 90.00 90.00 90.00
Space group P4/mmm (No. 123)
One atom of each set of equivalent atoms:
Rb 0.000 0.000 0.000 x1
Na 0.000 0.000 0.500 x1
Ag 0.500 0.500 0.279 x2
Cl 0.000 0.500 0.316 x4
Cl 0.500 0.500 0.000 x1

=====

No. 7
NaSmAg2Cl8: calculated X-ray diffraction stick pattern (copper Kα), based on a structure optimized by DFT (GGA-PBE).

Peak list (10 most intense, 5 to 70 degrees two-theta, by intensity)
2theta	d [Å]	I (rel.)	h k l
22.8	3.896	1000	1 1 2
44.5	2.034	753	1 3 2
37.7	2.386	629	2 2 0
61.5	1.509	297	2 0 8
26.4	3.373	255	0 0 4
32.5	2.754	202	1 1 4
30.3	2.945	196	1 2 1
14.7	6.036	182	1 0 1
46.6	1.948	153	2 2 4
23.8	3.742	147	1 0 3

Cell and atoms:
Lattice parameters (Å, degrees): 6.749 6.749 13.489 90.00 90.00 90.00
Space group I-4 (No. 82)
One atom of each set of equivalent atoms:
Na 0.000 0.000 0.000 x2
Sm 0.000 0.500 0.750 x2
Ag 0.000 0.000 0.500 x2
Ag 0.000 0.500 0.250 x2
Cl 0.160 0.302 0.574 x8
Cl 0.172 0.796 0.184 x8

=====

No. 8
NaSrAg2Cl8: calculated X-ray diffraction stick pattern (copper Kα), based on a structure optimized by DFT (GGA-PBE).

Peak list (10 most intense, 5 to 70 degrees two-theta, by intensity)
2theta	d [Å]	I (rel.)	h k l
42.2	2.144	1000	1 3 2
22.6	3.939	758	1 1 2
28.9	3.093	530	0 0 4
14.2	6.240	462	1 0 1
24.6	3.613	391	2 0 0
24.9	3.582	344	1 0 3
38.3	2.350	282	2 0 4
28.6	3.126	273	1 2 1
60.5	1.531	242	1 3 6
38.1	2.363	195	3 0 1

Cell and atoms:
Lattice parameters (Å, degrees): 7.226 7.226 12.371 90.00 90.00 90.00
Space group I-4 (No. 82)
One atom of each set of equivalent atoms:
Na 0.000 0.000 0.000 x2
Sr 0.000 0.500 0.750 x2
Ag 0.000 0.000 0.500 x2
Ag 0.000 0.500 0.250 x2
Cl 0.068 0.319 0.521 x8
Cl 0.131 0.813 0.217 x8

=====

No. 9
Na3Tl3AgCl8: calculated X-ray diffraction stick pattern (copper Kα), based on a structure optimized by DFT (GGA-PBE).

Peak list (10 most intense, 5 to 70 degrees two-theta, by intensity)
2theta	d [Å]	I (rel.)	h k l
29.5	3.024	1000	2 2 -2
13.0	6.824	877	2 0 -1
41.1	2.197	518	4 0 -4
29.9	2.992	464	4 0 0
43.9	2.063	357	6 2 -2
11.9	7.416	338	0 0 1
32.1	2.792	325	2 2 1
26.1	3.420	301	2 2 0
25.1	3.552	243	2 2 -1
24.7	3.606	219	3 1 -2

Cell and atoms:
Lattice parameters (Å, degrees): 14.246 8.334 8.828 90.00 122.85 90.00
Space group C2/m (No. 12)
One atom of each set of equivalent atoms:
Na 0.000 0.000 0.000 x2
Na 0.250 0.250 0.000 x4
Tl 0.000 0.500 0.500 x2
Tl 0.250 0.250 0.500 x4
Ag 0.000 0.500 0.000 x2
Cl 0.013 0.259 0.796 x8
Cl 0.210 0.500 0.188 x4
Cl 0.237 0.000 0.210 x4

=====

No. 10
NaTlAgCl5: calculated X-ray diffraction stick pattern (copper Kα), based on a structure optimized by DFT (GGA-PBE).

Peak list (10 most intense, 5 to 70 degrees two-theta, by intensity)
2theta	d [Å]	I (rel.)	h k l
19.6	4.540	1000	2 0 0
20.5	4.335	880	2 0 -2
12.6	7.033	876	1 1 0
20.0	4.444	816	0 0 2
38.4	2.344	767	3 3 0
19.4	4.570	641	1 1 -2
26.0	3.431	581	1 3 0
25.7	3.471	536	0 2 2
35.8	2.510	511	1 3 2
44.5	2.034	494	1 3 -4

Cell and atoms:
Lattice parameters (Å, degrees): 10.246 11.119 10.031 90.00 117.61 90.00
Space group C2/c (No. 15)
One atom of each set of equivalent atoms:
Na 0.000 0.000 0.000 x4
Tl 0.000 0.344 0.250 x4
Ag 0.000 0.322 0.750 x4
Cl 0.000 0.103 0.750 x4
Cl 0.136 0.217 0.157 x8
Cl 0.163 0.500 0.432 x8

=====

No. 11
NaTlAgCl4: calculated X-ray diffraction stick pattern (copper Kα), based on a structure optimized by DFT (GGA-PBE).

Peak list (10 most intense, 5 to 70 degrees two-theta, by intensity)
2theta	d [Å]	I (rel.)	h k l
22.7	3.922	1000	1 1 1
14.8	5.974	880	1 0 -1
19.1	4.657	821	1 1 -1
23.9	3.718	811	0 2 0
32.3	2.772	733	2 1 -2
31.9	2.804	667	1 1 2
35.0	2.566	502	2 2 0
17.3	5.132	418	1 1 0
26.7	3.341	367	1 1 -2
28.3	3.156	342	1 2 -1

Cell and atoms:
Lattice parameters (Å, degrees): 7.329 7.435 7.794 90.00 104.62 90.00
Space group P2_1/m (No. 11)
One atom of each set of equivalent atoms:
Na 0.170 0.250 0.038 x2
Tl 0.219 0.250 0.552 x2
Ag 0.280 0.750 0.830 x2
Cl 0.017 0.506 0.755 x4
Cl 0.472 0.250 0.339 x2
Cl 0.476 0.250 0.885 x2

=====

No. 12
NaTl4Ag3Cl8: calculated X-ray diffraction stick pattern (copper Kα), based on a structure optimized by DFT (GGA-PBE).

Peak list (10 most intense, 5 to 70 degrees two-theta, by intensity)
2theta	d [Å]	I (rel.)	h k l
29.7	3.007	1000	2 2 -2
41.9	2.155	537	2 2 2
25.8	3.447	513	2 2 0
29.5	3.024	511	4 0 0
42.8	2.111	369	6 2 -2
25.0	3.561	302	0 0 2
25.7	3.463	261	4 0 -2
50.3	1.816	222	6 2 -4
12.4	7.123	210	0 0 1
53.1	1.724	189	4 4 0

Cell and atoms:
Lattice parameters (Å, degrees): 14.655 8.391 8.629 90.00 124.36 90.00
Space group C2/m (No. 12)
One atom of each set of equivalent atoms:
Na 0.000 0.000 0.000 x2
Tl 0.000 0.000 0.500 x2
Tl 0.000 0.500 0.500 x2
Tl 0.250 0.250 0.500 x4
Ag 0.000 0.500 0.000 x2
Ag 0.250 0.250 0.000 x4
Cl 0.013 0.252 0.791 x8
Cl 0.236 0.500 0.205 x4
Cl 0.237 0.000 0.208 x4